# La7Ho2Tm
Calculated X-ray diffraction stick pattern, Cu Kα X-rays. Input: a DFT-relaxed cell (GGA-PBE, Alexandria).
Peak positions follow from Bragg's law for the DFT cell and can differ from measured ones.

Main lines, in order of rising 2θ (5° ≤ 2θ ≤ 70°):
| 2θ (°) | d (Å) | I_rel | index |
| --- | --- | --- | --- |
| 15.34 | 5.775 | 52 | 0 0 1 |
| 19.09 | 4.649 | 25 | 1 1 1 |
| 19.93 | 4.454 | 26 | 2 0 0 |
| 26.60 | 3.351 | 37 | 0 4 1 |
| 29.56 | 3.022 | 70 | 2 4 0 |
| 30.97 | 2.888 | 62 | 0 0 2 |
| 32.89 | 2.723 | 100 | 1 5 1 |
| 34.39 | 2.608 | 70 | 3 1 1 |
| 43.34 | 2.088 | 50 | 2 4 2 |
| 61.70 | 1.503 | 26 | 3 9 1 |

Structural model:
```
data_La7Ho2Tm
_cell_length_a 8.908
_cell_length_b 16.458
_cell_length_c 5.775
_cell_angle_alpha 90.00
_cell_angle_beta 90.00
_cell_angle_gamma 90.00
_symmetry_space_group_name_H-M 'C m m m'
_symmetry_Int_Tables_number 65
_symmetry_space_group_name_Hall '-C 2 2'
loop_
_atom_site_label
_atom_site_fract_x
_atom_site_fract_y
_atom_site_fract_z
_atom_site_occupancy
La1 0.000 0.000 0.000 1
La2 0.000 0.269 0.500 1
La3 0.181 0.387 0.000 1
Ho1 0.000 0.206 0.000 1
Tm1 0.000 0.500 0.500 1
```

# Cu5H8Cl2O10
Calculated X-ray diffraction stick pattern, Cu Kα X-rays. Input: a DFT-relaxed cell (GGA-PBE, Alexandria).
Peak positions follow from Bragg's law for the DFT cell and can differ from measured ones.

Main lines, in order of rising 2θ (5° ≤ 2θ ≤ 70°):
| 2θ (°) | d (Å) | I_rel | index |
| --- | --- | --- | --- |
| 10.68 | 8.284 | 100 | 0 0 1 |
| 16.23 | 5.462 | 69 | 0 1 1 |
| 16.43 | 5.394 | 65 | 1 0 0 |
| 16.86 | 5.259 | 72 | 1 1 0 |
| 25.04 | 3.557 | 23 | 1 0 -2 |
| 31.38 | 2.851 | 46 | 2 1 -1 |
| 33.25 | 2.695 | 25 | 2 2 1 |
| 34.11 | 2.629 | 51 | 2 2 0 |
| 34.22 | 2.620 | 22 | 0 2 0 |
| 53.01 | 1.727 | 27 | 0 2 5 |

Structural model:
```
data_Cu5H8Cl2O10
_cell_length_a 6.192
_cell_length_b 6.425
_cell_length_c 8.961
_cell_angle_alpha 69.30
_cell_angle_beta 87.61
_cell_angle_gamma 61.81
_symmetry_space_group_name_H-M 'P -1'
_symmetry_Int_Tables_number 2
loop_
_symmetry_equiv_pos_as_xyz
'x,y,z'
'-x,-y,-z'
loop_
_atom_site_label
_atom_site_fract_x
_atom_site_fract_y
_atom_site_fract_z
_atom_site_occupancy
Cu1 0.000 0.000 0.000 1
Cu2 0.000 0.500 0.000 1
Cu3 0.115 0.419 0.657 1
Cu4 0.500 0.000 0.000 1
H1 0.023 0.229 0.264 1
H2 0.164 0.825 0.432 1
H3 0.236 0.008 0.478 1
H4 0.476 0.912 0.278 1
Cl1 0.304 0.622 0.149 1
O1 0.088 0.286 0.513 1
O2 0.105 0.587 0.793 1
O3 0.175 0.150 0.040 1
O4 0.251 0.926 0.400 1
O5 0.382 0.096 0.783 1
```

# YGa4RuPt2
Calculated X-ray diffraction stick pattern, Cu Kα X-rays. Input: a DFT-relaxed cell (GGA-PBE, Alexandria).
Peak positions follow from Bragg's law for the DFT cell and can differ from measured ones.

Main lines, in order of rising 2θ (5° ≤ 2θ ≤ 70°):
| 2θ (°) | d (Å) | I_rel | index |
| --- | --- | --- | --- |
| 10.22 | 8.654 | 35 | 0 0 3 |
| 20.53 | 4.327 | 14 | 0 0 6 |
| 25.06 | 3.553 | 12 | 0 1 2 |
| 27.79 | 3.211 | 35 | 1 0 4 |
| 29.68 | 3.010 | 13 | 0 1 5 |
| 36.87 | 2.438 | 99 | 0 1 8 |
| 42.38 | 2.133 | 100 | 1 1 0 |
| 45.61 | 1.989 | 30 | 0 1 11 |
| 57.40 | 1.605 | 27 | 2 0 8 |
| 64.01 | 1.455 | 11 | 2 0 11 |

Structural model:
```
data_YGa4RuPt2
_cell_length_a 4.2659
_cell_length_b 4.2659
_cell_length_c 25.9623
_cell_angle_alpha 90.00
_cell_angle_beta 90.00
_cell_angle_gamma 120.00
_symmetry_space_group_name_H-M 'R -3 m'
_symmetry_Int_Tables_number 166
_symmetry_space_group_name_Hall '-R 3 2"'
loop_
_atom_site_label
_atom_site_fract_x
_atom_site_fract_y
_atom_site_fract_z
_atom_site_occupancy
Y1 0.0000 0.0000 0.0000 1
Ga1 0.0000 0.0000 0.1327 1
Ga2 0.0000 0.0000 0.3980 1
Ru1 0.0000 0.0000 0.5000 1
Pt1 0.0000 0.0000 0.2387 1
```